Starting from DFT lattice parameters and positions (GGA-PBE), the X-ray diffraction stick pattern of Li5Ca2As3 was computed for copper Kα.
No peak broadening, texture or thermal motion is included.

Cell and atoms:
Unit cell a=13.1304 b=13.1304 c=6.9691 alpha=90.00 beta=90.00 gamma=161.05
Atoms (fractional coordinates):
Li (0.0579, 0.9421, 0.5000)
Li (0.1235, 0.8765, 0.8694)
Li (0.2727, 0.7273, 0.6852)
Li (0.2993, 0.7007, 0.2924)
Li (0.4056, 0.5944, 0.7190)
Li (0.5944, 0.4056, 0.2190)
Li (0.7007, 0.2993, 0.7924)
Li (0.7273, 0.2727, 0.1852)
Li (0.8765, 0.1235, 0.3694)
Li (0.9421, 0.0579, 0.0000)
Ca (0.1790, 0.8210, 0.4350)
Ca (0.4797, 0.5203, 0.3383)
Ca (0.5203, 0.4797, 0.8383)
Ca (0.8210, 0.1790, 0.9350)
As (0.0445, 0.9555, 0.1209)
As (0.2240, 0.7760, 0.0060)
As (0.3868, 0.6132, 0.0910)
As (0.6132, 0.3868, 0.5910)
As (0.7760, 0.2240, 0.5060)
As (0.9555, 0.0445, 0.6209)

Largest 8 diffraction maxima, in order of rising 2θ, 10 to 90 degrees two-theta:
| two_theta | d/Å | intensity |
| --- | --- | --- |
| 24.25 | 3.670 | 100 |
| 24.47 | 3.637 | 67 |
| 26.86 | 3.319 | 38 |
| 29.81 | 2.997 | 31 |
| 34.40 | 2.607 | 34 |
| 34.66 | 2.588 | 56 |
| 37.42 | 2.403 | 44 |
| 41.80 | 2.161 | 44 |

---

Starting from DFT lattice parameters and positions (GGA-PBE), the X-ray diffraction stick pattern of As5Cl3 was computed for copper Kα.
No peak broadening, texture or thermal motion is included.

Cell and atoms:
Unit cell a=7.6740 b=7.9357 c=5.8982 alpha=90.00 beta=90.00 gamma=90.00
Atoms (fractional coordinates):
As (0.0000, 0.0000, 0.0000)
As (0.1517, 0.0000, 0.5000)
As (0.2500, 0.2500, 0.0000)
As (0.2500, 0.7500, 0.0000)
As (0.3483, 0.5000, 0.5000)
As (0.5000, 0.5000, 0.0000)
As (0.6517, 0.5000, 0.5000)
As (0.7500, 0.2500, 0.0000)
As (0.7500, 0.7500, 0.0000)
As (0.8483, 0.0000, 0.5000)
Cl (0.0000, 0.2906, 0.5000)
Cl (0.0000, 0.5000, 0.0000)
Cl (0.0000, 0.7094, 0.5000)
Cl (0.5000, 0.0000, 0.0000)
Cl (0.5000, 0.2094, 0.5000)
Cl (0.5000, 0.7906, 0.5000)

Largest 8 diffraction maxima, in order of rising 2θ, 10 to 90 degrees two-theta:
| two_theta | d/Å | intensity |
| --- | --- | --- |
| 16.07 | 5.517 | 28 |
| 30.31 | 2.949 | 61 |
| 35.94 | 2.499 | 100 |
| 40.07 | 2.250 | 20 |
| 45.73 | 1.984 | 16 |
| 55.85 | 1.646 | 18 |
| 57.57 | 1.601 | 22 |
| 70.07 | 1.343 | 13 |

---

Starting from DFT lattice parameters and positions (GGA-PBE), the X-ray diffraction stick pattern of Y2Al12Cu7 was computed for copper Kα.
No peak broadening, texture or thermal motion is included.

Cell and atoms:
Unit cell a=10.0201 b=10.0201 c=3.9328 alpha=90.00 beta=90.00 gamma=120.00
Atoms (fractional coordinates):
Y (0.3333, 0.6667, 0.2615)
Y (0.6667, 0.3333, 0.7385)
Al (0.0500, 0.4341, 0.7515)
Al (0.1142, 0.2652, 0.2544)
Al (0.1511, 0.8858, 0.2544)
Al (0.2652, 0.1511, 0.7456)
Al (0.3841, 0.9500, 0.7515)
Al (0.4341, 0.3841, 0.2485)
Al (0.5659, 0.6159, 0.7515)
Al (0.6159, 0.0500, 0.2485)
Al (0.7348, 0.8489, 0.2544)
Al (0.8489, 0.1142, 0.7456)
Al (0.8858, 0.7348, 0.7456)
Al (0.9500, 0.5659, 0.2485)
Cu (0.0000, 0.0000, 0.5000)
Cu (0.1224, 0.7099, 0.7559)
Cu (0.2901, 0.4125, 0.7559)
Cu (0.4125, 0.1224, 0.2441)
Cu (0.5875, 0.8776, 0.7559)
Cu (0.7099, 0.5875, 0.2441)
Cu (0.8776, 0.2901, 0.2441)

Largest 8 diffraction maxima, in order of rising 2θ, 10 to 90 degrees two-theta:
| two_theta | d/Å | intensity |
| --- | --- | --- |
| 27.19 | 3.280 | 30 |
| 30.68 | 2.914 | 38 |
| 35.64 | 2.519 | 100 |
| 44.11 | 2.053 | 29 |
| 46.16 | 1.966 | 21 |
| 48.05 | 1.894 | 45 |
| 51.45 | 1.776 | 23 |
| 68.83 | 1.364 | 19 |